No. 1
# U3NbSb5
Calculated powder XRD pattern, CuKα. Input: a structure optimized by DFT (GGA-PBE).

Main lines, in order of rising 2θ (10° ≤ 2θ ≤ 90°):
2θ = 24.3°, I 26
2θ = 29.2°, I 21
2θ = 33.3°, I 83
2θ = 33.9°, I 91
2θ = 35.3°, I 100
2θ = 43.7°, I 35
2θ = 49.8°, I 23
2θ = 71.3°, I 22

Cell: 9.1593 9.1593 6.1101 Å, 90.00 90.00 120.00°
Space group P6_3/mcm (No. 193)
Asymmetric unit:
U  0.0000  0.3859  0.2500 (multiplicity 6)
Nb  0.0000  0.0000  0.0000 (multiplicity 2)
Sb  0.0000  0.2675  0.7500 (multiplicity 6)
Sb  0.3333  0.6667  0.0000 (multiplicity 4)


No. 2
# ScNb
Calculated powder XRD pattern, CuKα. Input: a structure optimized by DFT (GGA-PBE).

Main lines, in order of rising 2θ (10° ≤ 2θ ≤ 90°):
2θ = 17.5°, I 20
2θ = 33.8°, I 32
2θ = 35.4°, I 27
2θ = 38.3°, I 100
2θ = 49.7°, I 21
2θ = 60.4°, I 16
2θ = 65.4°, I 19
2θ = 72.0°, I 18

Cell: 3.0656 3.0656 5.0722 Å, 90.00 90.00 120.00°
Space group P-6m2 (No. 187)
Asymmetric unit:
Sc  0.0000  0.0000  0.0000 (multiplicity 1)
Nb  0.3333  0.6667  0.5000 (multiplicity 1)


No. 3
# Sc2Nb3Si3
Calculated powder XRD pattern, CuKα. Input: a structure optimized by DFT (GGA-PBE).

Main lines, in order of rising 2θ (10° ≤ 2θ ≤ 90°):
2θ = 13.2°, I 35
2θ = 35.5°, I 17
2θ = 36.0°, I 31
2θ = 39.2°, I 42
2θ = 39.4°, I 17
2θ = 40.1°, I 19
2θ = 40.4°, I 41
2θ = 40.8°, I 100

Cell: 5.377 13.488 7.718 Å, 90.00 90.00 90.00°
Space group Amm2 (No. 38)
Asymmetric unit:
Sc  0.000  0.000  0.000 (multiplicity 2)
Sc  0.000  0.126  0.629 (multiplicity 4)
Sc  0.500  0.000  0.503 (multiplicity 2)
Nb  0.249  0.167  0.253 (multiplicity 8)
Nb  0.500  0.132  0.886 (multiplicity 4)
Si  0.000  0.000  0.358 (multiplicity 2)
Si  0.000  0.197  0.951 (multiplicity 4)
Si  0.500  0.000  0.142 (multiplicity 2)
Si  0.500  0.196  0.559 (multiplicity 4)


No. 4
# Nb2Se3
Calculated powder XRD pattern, CuKα. Input: a structure optimized by DFT (GGA-PBE).

Main lines, in order of rising 2θ (10° ≤ 2θ ≤ 90°):
2θ = 30.3°, I 43
2θ = 33.4°, I 66
2θ = 34.2°, I 46
2θ = 38.6°, I 88
2θ = 39.6°, I 84
2θ = 40.1°, I 77
2θ = 40.5°, I 100
2θ = 52.0°, I 61

Cell: 7.161 3.349 9.165 Å, 90.00 102.56 90.00°
Space group Pm (No. 6)
Asymmetric unit:
Nb  0.000  0.000  0.000 (multiplicity 1)
Nb  0.000  0.500  0.492 (multiplicity 1)
Nb  0.324  0.500  0.838 (multiplicity 1)
Nb  0.659  0.000  0.640 (multiplicity 1)
Se  0.000  0.000  0.271 (multiplicity 1)
Se  0.054  0.000  0.723 (multiplicity 1)
Se  0.372  0.000  0.059 (multiplicity 1)
Se  0.377  0.500  0.557 (multiplicity 1)
Se  0.655  0.500  0.393 (multiplicity 1)
Se  0.705  0.500  0.882 (multiplicity 1)


No. 5
# Nb3Se
Calculated powder XRD pattern, CuKα. Input: a structure optimized by DFT (GGA-PBE).

Main lines, in order of rising 2θ (10° ≤ 2θ ≤ 90°):
2θ = 36.0°, I 23
2θ = 36.5°, I 30
2θ = 40.5°, I 100
2θ = 52.2°, I 16
2θ = 64.6°, I 16
2θ = 68.4°, I 20
2θ = 76.6°, I 19
2θ = 79.1°, I 13

Cell: 5.7671 5.7671 4.9254 Å, 90.00 90.00 120.00°
Space group P6_3/mmc (No. 194)
Asymmetric unit:
Nb  0.1605  0.3210  0.2500 (multiplicity 6)
Se  0.3333  0.6667  0.7500 (multiplicity 2)


No. 6
# Nb2Se9
Calculated powder XRD pattern, CuKα. Input: a structure optimized by DFT (GGA-PBE).

Main lines, in order of rising 2θ (10° ≤ 2θ ≤ 90°):
2θ = 13.1°, I 100
2θ = 13.8°, I 59
2θ = 14.0°, I 53
2θ = 31.1°, I 35
2θ = 34.0°, I 28
2θ = 34.6°, I 20
2θ = 34.8°, I 23
2θ = 40.8°, I 20

Cell: 8.525 8.771 8.841 Å, 100.06 96.01 94.29°
Space group P-1 (No. 2)
Asymmetric unit:
Nb  0.086  0.138  0.102 (multiplicity 2)
Nb  0.410  0.402  0.362 (multiplicity 2)
Se  0.041  0.604  0.789 (multiplicity 2)
Se  0.071  0.852  0.171 (multiplicity 2)
Se  0.113  0.291  0.405 (multiplicity 2)
Se  0.161  0.023  0.821 (multiplicity 2)
Se  0.235  0.419  0.093 (multiplicity 2)
Se  0.321  0.672  0.501 (multiplicity 2)
Se  0.397  0.105  0.192 (multiplicity 2)
Se  0.460  0.313  0.637 (multiplicity 2)
Se  0.479  0.684  0.906 (multiplicity 2)